(1)
CeCr2B6: theoretical XRD peak list (copper Kα), based on a DFT-relaxed cell (PBE, the Materials Project).
Neutral-atom scattering factors, no anomalous dispersion.

The 10 most intense peaks (10° ≤ 2θ ≤ 80°), sorted by position:
d_spacing, 2θ (°), Rel. int., h k l
5.141, 17.2, 39.8, 0 1 1
3.268, 27.3, 76.4, 0 2 0
2.883, 31.0, 74.2, 1 0 1
2.570, 34.9, 26.9, 0 2 2
2.554, 35.1, 100.0, 0 1 3
2.312, 39.0, 92.6, 1 1 2
2.162, 41.8, 99.2, 1 2 1
1.714, 53.5, 32.1, 0 3 3
1.666, 55.1, 48.5, 1 1 4
1.634, 56.3, 40.8, 0 4 0

abc: 3.0727 6.5366 8.3240
angles: 90.00 90.00 90.00
Space group Immm (No. 71)
Inequivalent atoms, fractional coordinates:
Ce: 0.0000 0.0000 0.0000
Cr: 0.0000 0.5000 0.1544
B: 0.0000 0.1424 0.5000
B: 0.0000 0.2373 0.3036

***

(2)
CeEuB12: theoretical XRD peak list (copper Kα), based on a DFT-relaxed cell (PBE, the Materials Project).
Neutral-atom scattering factors, no anomalous dispersion.

The 10 most intense peaks (10° ≤ 2θ ≤ 80°), sorted by position:
d_spacing, 2θ (°), Rel. int., h k l
4.147, 21.4, 64.9, 1 1 0
2.933, 30.5, 100.0, 2 0 0
2.394, 37.6, 42.2, 2 0 1
2.074, 43.6, 21.4, 2 2 0
1.855, 49.1, 49.6, 3 1 0
1.693, 54.2, 27.3, 3 1 1
1.466, 63.4, 10.0, 4 0 0
1.382, 67.8, 27.9, 4 0 1
1.311, 72.0, 19.9, 4 2 0
1.250, 76.1, 12.8, 4 2 1

abc: 5.8655 5.8655 4.1468
angles: 90.00 90.00 90.00
Space group P4/mmm (No. 123)
Inequivalent atoms, fractional coordinates:
Ce: 0.0000 0.0000 0.0000
Eu: 0.5000 0.5000 0.0000
B: 0.0000 0.5000 0.2000
B: 0.1499 0.3498 0.5000

***

(3)
CeFe4B4: theoretical XRD peak list (copper Kα), based on a DFT-relaxed cell (PBE, the Materials Project).
Neutral-atom scattering factors, no anomalous dispersion.

The 10 most intense peaks (10° ≤ 2θ ≤ 80°), sorted by position:
d_spacing, 2θ (°), Rel. int., h k l
3.504, 25.4, 26.4, 2 0 0
3.352, 26.6, 53.9, 1 0 1
2.478, 36.3, 16.0, 2 2 0
2.422, 37.1, 100.0, 2 1 1
2.216, 40.7, 71.8, 1 3 0
2.078, 43.5, 14.8, 2 2 1
1.841, 49.5, 16.8, 1 0 2
1.732, 52.9, 31.9, 2 3 1
1.446, 64.4, 15.1, 1 3 2
1.316, 71.7, 16.4, 5 0 1

abc: 7.0078 7.0078 3.8168
angles: 90.00 90.00 90.00
Space group P4_2/n (No. 86, origin choice 2)
Inequivalent atoms, fractional coordinates:
Ce: 0.2500 0.2500 0.2500
Fe: 0.1187 0.6352 0.1456
B: 0.0468 0.9148 0.1456

***

(4)
CeFeB4: theoretical XRD peak list (copper Kα), based on a DFT-relaxed cell (PBE, the Materials Project).
Neutral-atom scattering factors, no anomalous dispersion.

The 10 most intense peaks (10° ≤ 2θ ≤ 80°), sorted by position:
d_spacing, 2θ (°), Rel. int., h k l
4.138, 21.5, 17.2, 1 2 0
3.466, 25.7, 63.4, 0 0 1
3.226, 27.6, 26.4, 1 3 0
2.879, 31.1, 83.7, 0 4 0
2.657, 33.7, 16.8, 1 2 1
2.361, 38.1, 29.8, 1 3 1
2.215, 40.7, 100.0, 0 4 1
2.076, 43.6, 22.3, 1 4 1
1.946, 46.7, 22.3, 2 3 1
1.485, 62.5, 29.9, 4 0 0

abc: 5.9458 11.5235 3.4657
angles: 90.00 90.00 90.00
Space group Pbam (No. 55)
Inequivalent atoms, fractional coordinates:
Ce: 0.1266 0.1498 0.0000
Fe: 0.1340 0.4104 0.0000
B: 0.0236 0.6887 0.5000
B: 0.1101 0.5450 0.5000
B: 0.1421 0.9666 0.5000
B: 0.2210 0.8163 0.5000

***

(5)
Ce4Fe3B6: theoretical XRD peak list (copper Kα), based on a DFT-relaxed cell (PBE, the Materials Project).
Neutral-atom scattering factors, no anomalous dispersion.

The 10 most intense peaks (10° ≤ 2θ ≤ 80°), sorted by position:
d_spacing, 2θ (°), Rel. int., h k l
3.603, 24.7, 27.2, 0 0 6
2.632, 34.1, 100.0, 1 1 0
2.557, 35.1, 25.1, 1 0 7
2.325, 38.7, 24.3, 0 1 8
2.125, 42.5, 53.9, 1 1 6
1.520, 61.0, 21.4, 3 0 0
1.453, 64.1, 10.5, 1 2 8
1.400, 66.8, 10.9, 3 0 6
1.316, 71.7, 11.1, 2 2 0
1.264, 75.2, 12.9, 1 1 15

abc: 5.2638 5.2638 21.6193
angles: 90.00 90.00 120.00
Space group R-3m (No. 166, hexagonal axes)
Inequivalent atoms, fractional coordinates:
Ce: 0.0000 0.0000 0.0964
Ce: 0.0000 0.0000 0.2371
Fe: 0.0000 0.0000 0.3860
Fe: 0.0000 0.0000 0.5000
B: 0.0000 0.3310 0.0000